Structure and calculated powder diffractogram of CrO2 (a structure optimized by DFT (GGA+U); Cu Ka).
Neutral-atom scattering factors, no anomalous dispersion.

```
data_CrO2
_chemical_formula_sum 'Cr4 O8'
_space_group_name_H-M_alt 'P b c n'
_space_group_IT_number 60
_cell_length_a 4.3293
_cell_length_b 5.4915
_cell_length_c 5.0179
_cell_angle_alpha 90.00
_cell_angle_beta 90.00
_cell_angle_gamma 90.00
loop_
_space_group_symop_operation_xyz
'x,y,z'
'-x,-y,-z'
'-x+1/2,-y+1/2,z+1/2'
'x+1/2,y+1/2,-z+1/2'
'x+1/2,-y+1/2,-z'
'-x+1/2,y+1/2,z'
'-x,y,-z+1/2'
'x,-y,z+1/2'
loop_
_atom_site_label
_atom_site_type_symbol
_atom_site_fract_x
_atom_site_fract_y
_atom_site_fract_z
_atom_site_occupancy
Cr1 Cr 0.0000 0.1449 0.2500 1
O1 O 0.2362 0.1165 0.5839 1
```

Largest 6 diffraction maxima, by angle, 2θ = 5–70°:
2θ/deg  Rel. int.  (hkl)
26.21  61  1 1 0
31.79  100  1 1 1
37.33  23  0 2 1
44.90  21  1 1 2
56.12  23  2 0 2
57.22  41  2 2 1